Entry 1:
This entry pairs a crystal structure of Er4ScAg3 with its theoretical X-ray diffraction stick pattern. Radiation: a wavelength of 1.5418 Å. Structure: a crystal structure in Alexandria, relaxed with PBE.
Intensities are scaled so that the largest is 100.

Largest 6 diffraction maxima, in order of rising 2θ, 10 to 90 degrees two-theta:
d 2.608, 2θ = 34.4°, I 25, (0 0 4); d 2.581, 2θ = 34.8°, I 25, (0 2 0); d 2.573, 2θ = 34.9°, I 100, (1 1 2); d 1.835, 2θ = 49.7°, I 18, (0 2 4); d 1.499, 2θ = 61.9°, I 17, (1 1 6); d 1.488, 2θ = 62.4°, I 18, (1 3 2)

```
data_Er4ScAg3
_cell_length_a 3.6088
_cell_length_b 5.1614
_cell_length_c 10.4332
_cell_angle_alpha 90.00
_cell_angle_beta 90.00
_cell_angle_gamma 90.00
_symmetry_space_group_name_H-M 'P m m m'
_symmetry_Int_Tables_number 47
_symmetry_space_group_name_Hall '-P 2 2'
loop_
_atom_site_label
_atom_site_type_symbol
_atom_site_fract_x
_atom_site_fract_y
_atom_site_fract_z
Er1 Er 0.0000 0.0000 0.0000
Er2 Er 0.0000 0.0000 0.5000
Er3 Er 0.0000 0.5000 0.2392
Sc1 Sc 0.5000 0.5000 0.5000
Ag1 Ag 0.5000 0.0000 0.2585
Ag2 Ag 0.5000 0.5000 0.0000
```

***

Entry 2:
This entry pairs a crystal structure of Er6ScAg5 with its theoretical X-ray diffraction stick pattern. Radiation: a wavelength of 1.5418 Å. Structure: a crystal structure in Alexandria, relaxed with PBE.
Intensities are scaled so that the largest is 100.

Largest 6 diffraction maxima, in order of rising 2θ, 10 to 90 degrees two-theta:
d 2.600, 2θ = 34.5°, I 20, (0 0 6); d 2.567, 2θ = 35.0°, I 100, (2 0 0); d 1.825, 2θ = 50.0°, I 14, (2 0 6); d 1.495, 2θ = 62.1°, I 13, (1 2 9); d 1.480, 2θ = 62.8°, I 14, (3 2 3); d 1.284, 2θ = 73.8°, I 8, (2 4 6)

```
data_Er6ScAg5
_cell_length_a 5.1232
_cell_length_b 7.2315
_cell_length_c 15.5989
_cell_angle_alpha 90.00
_cell_angle_beta 90.00
_cell_angle_gamma 90.00
_symmetry_space_group_name_H-M 'I m m m'
_symmetry_Int_Tables_number 71
_symmetry_space_group_name_Hall '-I 2 2'
loop_
_atom_site_label
_atom_site_type_symbol
_atom_site_fract_x
_atom_site_fract_y
_atom_site_fract_z
Er1 Er 0.0000 0.2364 0.0000
Er2 Er 0.0000 0.2517 0.3289
Sc1 Sc 0.0000 0.0000 0.5000
Ag1 Ag 0.0000 0.0000 0.1678
Ag2 Ag 0.0000 0.5000 0.1492
Ag3 Ag 0.0000 0.5000 0.5000
```

***

Entry 3:
This entry pairs a crystal structure of TbErScAg with its theoretical X-ray diffraction stick pattern. Radiation: a wavelength of 1.5418 Å. Structure: a crystal structure in Alexandria, relaxed with PBE.
Intensities are scaled so that the largest is 100.

Largest 6 diffraction maxima, in order of rising 2θ, 10 to 90 degrees two-theta:
d 8.483, 2θ = 10.4°, I 20, (0 0 1); d 2.702, 2θ = 33.2°, I 100, (1 0 2); d 2.478, 2θ = 36.2°, I 41, (1 1 0); d 1.753, 2θ = 52.2°, I 14, (2 0 0); d 1.611, 2θ = 57.2°, I 18, (1 1 4); d 1.470, 2θ = 63.2°, I 30, (2 1 2)

```
data_TbErScAg
_cell_length_a 3.5051
_cell_length_b 3.5051
_cell_length_c 8.4826
_cell_angle_alpha 90.00
_cell_angle_beta 90.00
_cell_angle_gamma 90.00
_symmetry_space_group_name_H-M 'P 4 m m'
_symmetry_Int_Tables_number 99
_symmetry_space_group_name_Hall 'P 4 -2'
loop_
_atom_site_label
_atom_site_type_symbol
_atom_site_fract_x
_atom_site_fract_y
_atom_site_fract_z
Tb1 Tb 0.0000 0.0000 0.0000
Er1 Er 0.0000 0.0000 0.5424
Sc1 Sc 0.5000 0.5000 0.2731
Ag1 Ag 0.5000 0.5000 0.7647
```

***

Entry 4:
This entry pairs a crystal structure of ErAg3Se3 with its theoretical X-ray diffraction stick pattern. Radiation: a wavelength of 1.5418 Å. Structure: a crystal structure in Alexandria, relaxed with PBE.
Intensities are scaled so that the largest is 100.

Largest 6 diffraction maxima, in order of rising 2θ, 10 to 90 degrees two-theta:
d 3.290, 2θ = 27.1°, I 65, (2 -1 3); d 2.539, 2θ = 35.3°, I 100, (2 -1 6); d 2.160, 2θ = 41.8°, I 80, (3 0 0); d 1.963, 2θ = 46.3°, I 37, (1 1 9); d 1.645, 2θ = 55.9°, I 25, (2 2 6); d 1.309, 2θ = 72.2°, I 23, (5 -1 6)

```
data_ErAg3Se3
_cell_length_a 7.4821
_cell_length_b 7.4821
_cell_length_c 20.7467
_cell_angle_alpha 90.00
_cell_angle_beta 90.00
_cell_angle_gamma 120.00
_symmetry_space_group_name_H-M 'R -3'
_symmetry_Int_Tables_number 148
_symmetry_space_group_name_Hall '-R 3'
loop_
_atom_site_label
_atom_site_type_symbol
_atom_site_fract_x
_atom_site_fract_y
_atom_site_fract_z
Er1 Er 0.0000 0.0000 0.1667
Ag1 Ag 0.0043 0.3449 0.3727
Se1 Se 0.0009 0.6629 0.4286
```

***

Entry 5:
This entry pairs a crystal structure of SmEr4Ag with its theoretical X-ray diffraction stick pattern. Radiation: a wavelength of 1.5418 Å. Structure: a crystal structure in Alexandria, relaxed with PBE.
Intensities are scaled so that the largest is 100.

Largest 6 diffraction maxima, in order of rising 2θ, 10 to 90 degrees two-theta:
d 3.072, 2θ = 29.1°, I 29, (0 2 2); d 2.936, 2θ = 30.4°, I 100, (1 5 1); d 2.736, 2θ = 32.7°, I 51, (1 1 2); d 2.691, 2θ = 33.3°, I 56, (2 0 0); d 2.418, 2θ = 37.2°, I 60, (1 7 1); d 1.597, 2θ = 57.7°, I 41, (3 5 1)

```
data_SmEr4Ag
_cell_length_a 5.3827
_cell_length_b 20.8829
_cell_length_c 6.4288
_cell_angle_alpha 90.00
_cell_angle_beta 90.00
_cell_angle_gamma 90.00
_symmetry_space_group_name_H-M 'C m c 21'
_symmetry_Int_Tables_number 36
_symmetry_space_group_name_Hall 'C 2c -2'
loop_
_atom_site_label
_atom_site_type_symbol
_atom_site_fract_x
_atom_site_fract_y
_atom_site_fract_z
Sm1 Sm 0.0000 0.1357 0.0000
Er1 Er 0.0000 0.0669 0.5084
Er2 Er 0.0000 0.2587 0.6305
Er3 Er 0.0000 0.3246 0.1415
Er4 Er 0.0000 0.4655 0.3461
Ag1 Ag 0.0000 0.3984 0.7540
```

***

Entry 6:
This entry pairs a crystal structure of Sm2Er2Ag3 with its theoretical X-ray diffraction stick pattern. Radiation: a wavelength of 1.5418 Å. Structure: a crystal structure in Alexandria, relaxed with PBE.
Intensities are scaled so that the largest is 100.

Largest 6 diffraction maxima, in order of rising 2θ, 10 to 90 degrees two-theta:
d 3.614, 2θ = 24.6°, I 22, (1 0 1); d 2.563, 2θ = 35.0°, I 100, (1 1 3); d 2.548, 2θ = 35.2°, I 99, (2 1 0); d 1.807, 2θ = 50.5°, I 35, (2 0 2); d 1.483, 2θ = 62.6°, I 18, (1 0 5); d 1.473, 2θ = 63.1°, I 29, (0 3 2)

```
data_Sm2Er2Ag3
_cell_length_a 5.0906
_cell_length_b 5.0958
_cell_length_c 8.8945
_cell_angle_alpha 73.39
_cell_angle_beta 89.96
_cell_angle_gamma 60.08
_symmetry_space_group_name_H-M 'P -1'
_symmetry_Int_Tables_number 2
_symmetry_space_group_name_Hall '-P 1'
loop_
_atom_site_label
_atom_site_type_symbol
_atom_site_fract_x
_atom_site_fract_y
_atom_site_fract_z
Sm1 Sm 0.1278 0.2474 0.3788
Er1 Er 0.3761 0.7490 0.1267
Ag1 Ag 0.0000 0.5000 0.0000
Ag2 Ag 0.2524 0.9945 0.7584
```